AlCo5: theoretical X-ray diffraction stick pattern (Cu Kα, 1.54184 Å), based on a structure optimized by DFT (GGA-PBE).
No peak broadening, texture or thermal motion is included.

Top 6 peaks for 10 to 80 degrees two-theta, by angle:
2θ = 22.3°, I = 24, hkl 1 0 0; 2θ = 42.4°, I = 45, hkl 1 0 6; 2θ = 46.1°, I = 100, hkl 1 1 4; 2θ = 47.1°, I = 76, hkl 2 0 2; 2θ = 47.8°, I = 26, hkl 1 0 7; 2θ = 49.1°, I = 31, hkl 2 0 3

Crystal structure
a b c (Å): 4.6122 4.6122 15.1374
angles (deg): 90.00 90.00 120.00
Space group P6_3/mmc (No. 194)
Unique sites:
Al: 0.0000 0.0000 0.0962 (multiplicity 4)
Co: 0.0000 0.5000 0.0000 (multiplicity 6)
Co: 0.1617 0.3233 0.2500 (multiplicity 6)
Co: 0.3333 0.6667 0.1271 (multiplicity 4)
Co: 0.3333 0.6667 0.6617 (multiplicity 4)